# CdH6Pt4
Calculated XRD peak list, copper Kα. Input: a cell relaxed with PBE.
Lines closer than 0.1° are merged.

Largest 12 diffraction maxima, by angle, 2θ from 15° to 90°:
2θ 15.2, I 45, hkl 0 0 1; 2θ 20.9, I 30, hkl 0 1 1; 2θ 30.7, I 42, hkl 0 0 2; 2θ 32.6, I 23, hkl 1 1 -1; 2θ 34.5, I 100, hkl 1 -1 0; 2θ 35.0, I 60, hkl 1 1 2; 2θ 36.1, I 41, hkl 1 2 1; 2θ 37.1, I 61, hkl 1 2 0; 2θ 39.3, I 38, hkl 0 1 -2; 2θ 40.9, I 54, hkl 1 0 -2; 2θ 42.5, I 47, hkl 0 2 2; 2θ 46.8, I 59, hkl 2 1 0

Cell and atoms:
```
data_CdH6Pt4
_chemical_formula_sum 'Cd1 H6 Pt4'
_symmetry_space_group_name_H-M 'P 1'
_symmetry_Int_Tables_number 1
_cell_length_a 3.943
_cell_length_b 5.352
_cell_length_c 6.056
_cell_angle_alpha 74.93
_cell_angle_beta 80.82
_cell_angle_gamma 70.38
loop_
_symmetry_equiv_pos_as_xyz
'x,y,z'
loop_
_atom_site_label
_atom_site_type_symbol
_atom_site_fract_x
_atom_site_fract_y
_atom_site_fract_z
_atom_site_occupancy
Cd1 Cd 0.000 0.000 0.000 1
H1 H 0.024 0.225 0.502 1
H2 H 0.180 0.593 0.537 1
H3 H 0.181 0.516 0.984 1
H4 H 0.507 0.892 0.388 1
H5 H 0.628 0.913 0.764 1
H6 H 0.640 0.471 0.727 1
Pt1 Pt 0.317 0.259 0.225 1
Pt2 Pt 0.629 0.527 0.438 1
Pt3 Pt 0.690 0.599 0.956 1
Pt4 Pt 0.905 0.932 0.502 1
```